Record 1
Diffraction record for KPu. The powder diffractogram is theoretical, not measured: it uses DFT lattice parameters and positions (PBE) and a wavelength of 1.5418 Å.

Structural model:
a b c (Å): 5.9910 6.3571 13.5571
angles (deg): 85.88 84.80 86.99
Sites, in units of the cell vectors:
K 0.0162 0.2982 0.3560
K 0.4425 0.1855 0.6317
K 0.4678 0.6077 0.8310
K 0.5322 0.3923 0.1690
K 0.5575 0.8145 0.3683
K 0.9838 0.7018 0.6440
Pu 0.0807 0.3304 0.9903
Pu 0.1315 0.8257 0.1146
Pu 0.3119 0.0141 0.9840
Pu 0.6881 0.9859 0.0160
Pu 0.8685 0.1743 0.8854
Pu 0.9193 0.6696 0.0097

Top 10 peaks for 2θ from 10° to 90°, in order of rising 2θ:
two_theta  intensity
13.1  100
14.9  20
15.1  33
16.8  23
18.6  30
19.8  25
24.6  19
25.2  27
29.8  26
32.6  25

Record 2
Diffraction record for KPu. The powder diffractogram is theoretical, not measured: it uses DFT lattice parameters and positions (PBE) and a wavelength of 1.5418 Å.

Structural model:
a b c (Å): 8.7448 8.7448 8.7448
angles (deg): 107.85 107.85 107.85
Sites, in units of the cell vectors:
K 0.1512 0.3990 0.4512
K 0.3990 0.4512 0.1512
K 0.4512 0.1512 0.3990
K 0.5488 0.8488 0.6010
K 0.6010 0.5488 0.8488
K 0.8488 0.6010 0.5488
Pu 0.0409 0.6818 0.1901
Pu 0.1901 0.0409 0.6818
Pu 0.3182 0.8099 0.9591
Pu 0.6818 0.1901 0.0409
Pu 0.8099 0.9591 0.3182
Pu 0.9591 0.3182 0.8099

Top 10 peaks for 2θ from 10° to 90°, in order of rising 2θ:
two_theta  intensity
11.9  29
12.5  46
17.3  45
27.0  35
27.9  100
28.4  27
32.5  67
33.5  18
46.3  22
55.2  21

Record 3
Diffraction record for K3Rb. The powder diffractogram is theoretical, not measured: it uses DFT lattice parameters and positions (PBE) and a wavelength of 1.5418 Å.

Structural model:
a b c (Å): 8.5232 8.5232 8.5232
angles (deg): 134.41 134.41 66.45
Sites, in units of the cell vectors:
K 0.0000 0.0000 0.0000
K 0.2500 0.7500 0.5000
K 0.7500 0.2500 0.5000
Rb 0.5000 0.5000 0.0000

Top 10 peaks for 2θ from 10° to 90°, in order of rising 2θ:
two_theta  intensity
14.8  11
22.8  100
25.0  20
27.0  32
37.1  26
38.6  12
42.7  17
45.2  28
46.5  13
58.9  18

Record 4
Diffraction record for K3Rb. The powder diffractogram is theoretical, not measured: it uses DFT lattice parameters and positions (PBE) and a wavelength of 1.5418 Å.

Structural model:
a b c (Å): 7.6589 7.6589 7.6589
angles (deg): 60.00 60.00 60.00
Sites, in units of the cell vectors:
K 0.0000 0.0000 0.0000
K 0.2500 0.2500 0.2500
K 0.7500 0.7500 0.7500
Rb 0.5000 0.5000 0.5000

Top 10 peaks for 2θ from 10° to 90°, in order of rising 2θ:
two_theta  intensity
14.2  9
23.2  100
27.3  6
33.1  19
40.8  41
47.5  13
53.5  18
64.4  19
74.3  9
79.1  5

Record 5
Diffraction record for K3Rb. The powder diffractogram is theoretical, not measured: it uses DFT lattice parameters and positions (PBE) and a wavelength of 1.5418 Å.

Structural model:
a b c (Å): 9.5983 9.5983 7.8085
angles (deg): 90.00 90.00 120.00
Sites, in units of the cell vectors:
K 0.1652 0.3304 0.2500
K 0.1652 0.8348 0.2500
K 0.3304 0.1652 0.7500
K 0.6696 0.8348 0.2500
K 0.8348 0.1652 0.7500
K 0.8348 0.6696 0.7500
Rb 0.3333 0.6667 0.7500
Rb 0.6667 0.3333 0.2500

Top 10 peaks for 2θ from 10° to 90°, in order of rising 2θ:
two_theta  intensity
15.6  12
21.4  23
22.8  26
24.3  100
31.4  17
37.5  20
40.9  25
44.3  24
45.2  19
60.1  14

Record 6
Diffraction record for KRb3. The powder diffractogram is theoretical, not measured: it uses DFT lattice parameters and positions (PBE) and a wavelength of 1.5418 Å.

Structural model:
a b c (Å): 7.0194 7.0194 7.0194
angles (deg): 90.00 90.00 90.00
Sites, in units of the cell vectors:
K 0.0000 0.0000 0.0000
Rb 0.0000 0.5000 0.5000
Rb 0.5000 0.0000 0.5000
Rb 0.5000 0.5000 0.0000

Top 10 peaks for 2θ from 10° to 90°, in order of rising 2θ:
two_theta  intensity
21.9  100
25.4  52
36.2  40
42.7  50
44.7  14
57.2  20
58.8  19
65.1  14
69.6  15
81.0  15

Record 7
Diffraction record for KRb3. The powder diffractogram is theoretical, not measured: it uses DFT lattice parameters and positions (PBE) and a wavelength of 1.5418 Å.

Structural model:
a b c (Å): 7.8931 7.8931 7.8931
angles (deg): 60.00 60.00 60.00
Sites, in units of the cell vectors:
K 0.0000 0.0000 0.0000
Rb 0.2500 0.2500 0.2500
Rb 0.5000 0.5000 0.5000
Rb 0.7500 0.7500 0.7500

Top 10 peaks for 2θ from 10° to 90°, in order of rising 2θ:
two_theta  intensity
22.5  100
32.1  20
39.6  44
46.0  14
51.8  20
62.2  22
71.8  11
76.3  6
80.8  5
89.5  13

Record 8
Diffraction record for KRb3. The powder diffractogram is theoretical, not measured: it uses DFT lattice parameters and positions (PBE) and a wavelength of 1.5418 Å.

Structural model:
a b c (Å): 8.8274 8.8274 8.8274
angles (deg): 134.21 134.21 66.76
Sites, in units of the cell vectors:
K 0.0000 0.0000 0.0000
Rb 0.2500 0.7500 0.5000
Rb 0.5000 0.5000 0.0000
Rb 0.7500 0.2500 0.5000

Top 10 peaks for 2θ from 10° to 90°, in order of rising 2θ:
two_theta  intensity
21.9  100
24.1  20
25.9  33
35.7  28
37.0  13
41.2  18
43.4  31
44.7  14
56.6  14
65.9  9

Record 9
Diffraction record for KRb3. The powder diffractogram is theoretical, not measured: it uses DFT lattice parameters and positions (PBE) and a wavelength of 1.5418 Å.

Structural model:
a b c (Å): 10.0846 10.0846 7.9183
angles (deg): 90.00 90.00 120.00
Sites, in units of the cell vectors:
K 0.3333 0.6667 0.2500
K 0.6667 0.3333 0.7500
Rb 0.1690 0.3380 0.7500
Rb 0.1690 0.8310 0.7500
Rb 0.3380 0.1690 0.2500
Rb 0.6620 0.8310 0.7500
Rb 0.8310 0.1690 0.2500
Rb 0.8310 0.6620 0.2500

Top 10 peaks for 2θ from 10° to 90°, in order of rising 2θ:
two_theta  intensity
20.3  23
22.5  24
23.3  100
30.5  17
35.6  22
39.9  23
42.5  26
43.0  19
57.0  16
66.9  10

Record 10
Diffraction record for K2Rb2Re6S13. The powder diffractogram is theoretical, not measured: it uses DFT lattice parameters and positions (PBE) and a wavelength of 1.5418 Å.

Structural model:
a b c (Å): 9.7183 9.7183 13.8033
angles (deg): 95.37 95.37 118.11
Sites, in units of the cell vectors:
K 0.1854 0.2295 0.2912
K 0.2295 0.1854 0.7912
K 0.7705 0.8146 0.2088
K 0.8146 0.7705 0.7088
Rb 0.1453 0.3809 0.5888
Rb 0.3809 0.1453 0.0888
Rb 0.6191 0.8547 0.9112
Rb 0.8547 0.6191 0.4112
Re 0.0602 0.6570 0.1100
Re 0.0820 0.6554 0.9207
Re 0.1964 0.5075 0.0238
Re 0.3430 0.9398 0.3900
Re 0.3446 0.9180 0.5793
Re 0.4925 0.8036 0.4762
Re 0.5075 0.1964 0.5238
Re 0.6554 0.0820 0.4207
Re 0.6570 0.0602 0.6100
Re 0.8036 0.4925 0.9762
Re 0.9180 0.3446 0.0793
Re 0.9398 0.3430 0.8900
S 0.0510 0.2195 0.9952
S 0.1289 0.8711 0.2500
S 0.1320 0.7840 0.6740
S 0.1591 0.5077 0.1949
S 0.2003 0.5076 0.8481
S 0.2095 0.6896 0.4496
S 0.2160 0.8680 0.8260
S 0.2195 0.0510 0.4952
S 0.3104 0.7905 0.0504
S 0.4630 0.5312 0.0649
S 0.4688 0.5370 0.4351
S 0.4924 0.7997 0.6519
S 0.4923 0.8409 0.3051
S 0.5077 0.1591 0.6949
S 0.5076 0.2003 0.3481
S 0.5312 0.4630 0.5649
S 0.5370 0.4688 0.9351
S 0.6896 0.2095 0.9496
S 0.7805 0.9490 0.5048
S 0.7840 0.1320 0.1740
S 0.7905 0.3104 0.5504
S 0.7997 0.4924 0.1519
S 0.8409 0.4923 0.8051
S 0.8680 0.2160 0.3260
S 0.8711 0.1289 0.7500
S 0.9490 0.7805 0.0048

Top 10 peaks for 2θ from 10° to 90°, in order of rising 2θ:
two_theta  intensity
10.6  74
11.4  100
13.0  35
13.2  56
16.8  11
29.6  14
36.4  13
38.2  16
45.8  15
48.3  16

Record 11
Diffraction record for K2Re3S6. The powder diffractogram is theoretical, not measured: it uses DFT lattice parameters and positions (PBE) and a wavelength of 1.5418 Å.

Structural model:
a b c (Å): 9.7126 9.7126 12.0346
angles (deg): 91.19 91.19 61.09
Sites, in units of the cell vectors:
K 0.1009 0.8991 0.7500
K 0.1437 0.6213 0.9800
K 0.2903 0.7097 0.2500
K 0.3787 0.8563 0.5200
K 0.6213 0.1437 0.4800
K 0.7097 0.2903 0.7500
K 0.8563 0.3787 0.0200
K 0.8991 0.1009 0.2500
Re 0.0307 0.3844 0.6302
Re 0.1031 0.3121 0.4167
Re 0.1910 0.4966 0.5255
Re 0.3121 0.1031 0.9167
Re 0.3844 0.0307 0.1302
Re 0.4966 0.1910 0.0255
Re 0.5034 0.8090 0.9745
Re 0.6156 0.9693 0.8698
Re 0.6879 0.8969 0.0833
Re 0.8090 0.5034 0.4745
Re 0.8969 0.6879 0.5833
Re 0.9693 0.6156 0.3698
S 0.0543 0.7764 0.4800
S 0.0622 0.2347 0.8043
S 0.1109 0.5609 0.7171
S 0.2194 0.2954 0.0683
S 0.2236 0.9457 0.0200
S 0.2347 0.0622 0.3043
S 0.2428 0.4286 0.3315
S 0.2954 0.2194 0.5683
S 0.4286 0.2428 0.8315
S 0.4394 0.5008 0.5734
S 0.4391 0.8891 0.7829
S 0.4992 0.5606 0.9266
S 0.5008 0.4394 0.0734
S 0.5609 0.1109 0.2171
S 0.5606 0.4992 0.4266
S 0.5714 0.7572 0.1685
S 0.7046 0.7806 0.4317
S 0.7572 0.5714 0.6685
S 0.7653 0.9378 0.6957
S 0.7764 0.0543 0.9800
S 0.7806 0.7046 0.9317
S 0.8891 0.4391 0.2829
S 0.9378 0.7653 0.1957
S 0.9457 0.2236 0.5200

Top 10 peaks for 2θ from 10° to 90°, in order of rising 2θ:
two_theta  intensity
10.6  98
12.7  91
12.8  100
14.7  23
18.0  13
37.2  12
46.9  19
47.0  11
48.0  13
48.8  15

Record 12
Diffraction record for K2Re3Se6. The powder diffractogram is theoretical, not measured: it uses DFT lattice parameters and positions (PBE) and a wavelength of 1.5418 Å.

Structural model:
a b c (Å): 10.1479 10.1479 12.5296
angles (deg): 91.35 91.35 60.64
Sites, in units of the cell vectors:
K 0.1026 0.8974 0.7500
K 0.1488 0.6221 0.9831
K 0.2836 0.7164 0.2500
K 0.3779 0.8512 0.5169
K 0.6221 0.1488 0.4831
K 0.7164 0.2836 0.7500
K 0.8512 0.3779 0.0169
K 0.8974 0.1026 0.2500
Re 0.0300 0.3874 0.6256
Re 0.1010 0.3184 0.4187
Re 0.1844 0.4965 0.5258
Re 0.3184 0.1010 0.9187
Re 0.3874 0.0300 0.1256
Re 0.4965 0.1844 0.0258
Re 0.5035 0.8156 0.9742
Re 0.6126 0.9700 0.8744
Re 0.6816 0.8990 0.0813
Re 0.8156 0.5035 0.4742
Re 0.8990 0.6816 0.5813
Re 0.9700 0.6126 0.3744
Se 0.0514 0.7802 0.4815
Se 0.0615 0.2351 0.8040
Se 0.1107 0.5599 0.7209
Se 0.2151 0.2992 0.0692
Se 0.2198 0.9486 0.0185
Se 0.2351 0.0615 0.3040
Se 0.2462 0.4281 0.3305
Se 0.2992 0.2151 0.5692
Se 0.4281 0.2462 0.8305
Se 0.4315 0.5041 0.5811
Se 0.4401 0.8893 0.7791
Se 0.4959 0.5685 0.9189
Se 0.5041 0.4315 0.0811
Se 0.5599 0.1107 0.2209
Se 0.5685 0.4959 0.4189
Se 0.5719 0.7538 0.1695
Se 0.7008 0.7849 0.4308
Se 0.7538 0.5719 0.6695
Se 0.7649 0.9385 0.6960
Se 0.7802 0.0514 0.9815
Se 0.7849 0.7008 0.9308
Se 0.8893 0.4401 0.2791
Se 0.9385 0.7649 0.1960
Se 0.9486 0.2198 0.5185

Top 10 peaks for 2θ from 10° to 90°, in order of rising 2θ:
two_theta  intensity
10.1  100
12.2  88
12.3  95
14.1  19
35.7  11
40.5  10
44.8  19
45.5  11
45.8  11
46.7  11

- What is the formula in the sixth record?
  KRb3

What did the fifth record say?
Diffraction record for K3Rb. The powder diffractogram is theoretical, not measured: it uses DFT lattice parameters and positions (PBE) and a wavelength of 1.5418 Å.

Structural model:
a b c (Å): 9.5983 9.5983 7.8085
angles (deg): 90.00 90.00 120.00
Sites, in units of the cell vectors:
K 0.1652 0.3304 0.2500
K 0.1652 0.8348 0.2500
K 0.3304 0.1652 0.7500
K 0.6696 0.8348 0.2500
K 0.8348 0.1652 0.7500
K 0.8348 0.6696 0.7500
Rb 0.3333 0.6667 0.7500
Rb 0.6667 0.3333 0.2500

Top 10 peaks for 2θ from 10° to 90°, in order of rising 2θ:
two_theta  intensity
15.6  12
21.4  23
22.8  26
24.3  100
31.4  17
37.5  20
40.9  25
44.3  24
45.2  19
60.1  14